(1)
Structure and theoretical X-ray powder pattern of LiTeH12N4 (a structure optimized by DFT (GGA-PBE); Cu Kα X-rays).
No peak broadening, texture or thermal motion is included.

Most intense lines, 10° ≤ 2θ ≤ 90°, in order of rising 2θ:
2θ (°)  d/Å  I/Imax
11.59  7.637  488
12.38  7.149  1000
14.21  6.231  849
17.45  5.083  681
19.09  4.649  548
20.24  4.388  654
29.17  3.061  519
29.52  3.026  559
30.09  2.970  441
31.79  2.815  508

Atomic structure:
a b c (Å): 6.9033 7.3549 8.5452
angles (deg): 76.60 66.64 86.77
Fractional positions:
Li  0.1971  0.4179  0.2150
Li  0.8029  0.5821  0.7850
Te  0.3597  0.0480  0.6548
Te  0.6403  0.9520  0.3452
H  0.0169  0.7265  0.1835
H  0.0290  0.3673  0.9530
H  0.0453  0.2135  0.5207
H  0.1202  0.0988  0.1730
H  0.1305  0.6240  0.4625
H  0.1396  0.7930  0.5554
H  0.1897  0.7548  0.9802
H  0.3305  0.1544  0.9897
H  0.3566  0.1024  0.1774
H  0.4123  0.5267  0.8439
H  0.4605  0.3757  0.3638
H  0.4830  0.6056  0.2959
H  0.5170  0.3944  0.7041
H  0.5395  0.6243  0.6362
H  0.5877  0.4733  0.1561
H  0.6434  0.8976  0.8226
H  0.6695  0.8456  0.0103
H  0.8103  0.2452  0.0198
H  0.8604  0.2070  0.4446
H  0.8695  0.3760  0.5375
H  0.8798  0.9012  0.8270
H  0.9547  0.7865  0.4793
H  0.9710  0.6327  0.0470
H  0.9831  0.2735  0.8165
N  0.0376  0.7041  0.5448
N  0.0889  0.6569  0.0848
N  0.2630  0.1724  0.1157
N  0.4567  0.4848  0.2646
N  0.5433  0.5152  0.7354
N  0.7370  0.8276  0.8843
N  0.9111  0.3431  0.9152
N  0.9624  0.2959  0.4552

(2)
Structure and theoretical X-ray powder pattern of SmHo7Tl2 (a structure optimized by DFT (GGA-PBE); Cu Kα X-rays).
No peak broadening, texture or thermal motion is included.

Most intense lines, 10° ≤ 2θ ≤ 90°, in order of rising 2θ:
2θ (°)  d/Å  I/Imax
16.41  5.402  684
19.42  4.571  323
19.95  4.451  281
28.51  3.130  486
30.40  2.941  684
33.17  2.701  654
34.28  2.616  909
35.00  2.564  1000
45.60  1.989  452
61.46  1.509  292

Atomic structure:
a b c (Å): 8.9394 8.9394 5.4017
angles (deg): 90.00 90.00 118.50
Fractional positions:
Sm  0.0000  0.0000  0.0000
Ho  0.0600  0.3028  0.5000
Ho  0.2291  0.7709  0.0000
Ho  0.3028  0.0600  0.5000
Ho  0.5000  0.5000  0.5000
Ho  0.6972  0.9400  0.5000
Ho  0.7709  0.2291  0.0000
Ho  0.9400  0.6972  0.5000
Tl  0.3052  0.6948  0.5000
Tl  0.6948  0.3052  0.5000

(3)
Structure and theoretical X-ray powder pattern of AlTl2AgAs (a structure optimized by DFT (GGA-PBE); Cu Kα X-rays).
No peak broadening, texture or thermal motion is included.

Most intense lines, 10° ≤ 2θ ≤ 90°, in order of rising 2θ:
2θ (°)  d/Å  I/Imax
18.00  4.927  144
29.75  3.003  1000
33.45  2.679  443
36.47  2.464  175
48.03  1.894  161
50.32  1.813  280
57.52  1.602  313
61.54  1.507  128
61.77  1.502  151
81.64  1.179  116

Atomic structure:
a b c (Å): 5.3580 5.3580 4.9274
angles (deg): 90.00 90.00 90.00
Fractional positions:
Al  0.0000  0.0000  0.0000
Tl  0.0000  0.5000  0.0000
Tl  0.5000  0.0000  0.0000
Ag  0.0000  0.0000  0.5000
As  0.5000  0.5000  0.5000

(4)
Structure and theoretical X-ray powder pattern of CsSrMnH6 (a structure optimized by DFT (GGA-PBE); Cu Kα X-rays).
No peak broadening, texture or thermal motion is included.

Most intense lines, 10° ≤ 2θ ≤ 90°, in order of rising 2θ:
2θ (°)  d/Å  I/Imax
17.95  4.943  420
19.69  4.509  489
24.08  3.696  431
25.10  3.548  557
27.27  3.270  891
30.19  2.960  412
31.29  2.858  1000
35.06  2.560  732
35.56  2.525  387
36.70  2.449  374

Atomic structure:
a b c (Å): 5.0971 3.6960 6.7443
angles (deg): 90.00 104.14 90.00
Fractional positions:
Cs  0.0000  0.0000  0.0000
Sr  0.6603  0.0000  0.4650
Mn  0.1890  0.5000  0.5378
H  0.1823  0.0000  0.5321
H  0.2810  0.5000  0.7792
H  0.3266  0.5000  0.3339
H  0.5068  0.5000  0.6457
H  0.9158  0.5000  0.3378
H  0.9425  0.5000  0.6477

(5)
Structure and theoretical X-ray powder pattern of SrAl11Pd (a structure optimized by DFT (GGA-PBE); Cu Kα X-rays).
No peak broadening, texture or thermal motion is included.

Most intense lines, 10° ≤ 2θ ≤ 90°, in order of rising 2θ:
2θ (°)  d/Å  I/Imax
13.75  6.440  573
19.64  4.519  581
26.05  3.421  531
27.81  3.208  434
32.74  2.735  610
37.60  2.392  548
37.92  2.373  1000
39.02  2.308  640
39.66  2.273  462
39.90  2.260  619

Atomic structure:
a b c (Å): 6.9477 6.9477 7.4023
angles (deg): 96.82 96.82 135.93
Fractional positions:
Sr  0.0000  0.0000  0.0000
Al  0.0000  0.0000  0.5000
Al  0.0000  0.5000  0.0000
Al  0.0035  0.6488  0.6422
Al  0.2766  0.4986  0.7679
Al  0.3512  0.9965  0.3578
Al  0.4986  0.2766  0.7679
Al  0.5000  0.0000  0.0000
Al  0.5014  0.7234  0.2321
Al  0.6488  0.0035  0.6422
Al  0.7234  0.5014  0.2321
Al  0.9965  0.3512  0.3578
Pd  0.5000  0.5000  0.5000

(6)
Structure and theoretical X-ray powder pattern of PrTmSe3 (a structure optimized by DFT (GGA-PBE); Cu Kα X-rays).
No peak broadening, texture or thermal motion is included.

Most intense lines, 10° ≤ 2θ ≤ 90°, in order of rising 2θ:
2θ (°)  d/Å  I/Imax
21.49  4.134  269
23.58  3.773  242
24.15  3.686  369
30.99  2.885  1000
32.18  2.782  436
36.80  2.442  276
39.23  2.296  397
40.09  2.249  469
43.98  2.059  404
44.82  2.022  277

Atomic structure:
a b c (Å): 8.1233 4.1172 8.3033
angles (deg): 90.00 95.28 90.00
Fractional positions:
Pr  0.1235  0.2500  0.2730
Pr  0.8765  0.7500  0.7270
Tm  0.3523  0.7500  0.8293
Tm  0.6477  0.2500  0.1707
Se  0.1263  0.2500  0.8906
Se  0.1887  0.7500  0.5284
Se  0.4041  0.7500  0.1794
Se  0.5959  0.2500  0.8206
Se  0.8113  0.2500  0.4716
Se  0.8737  0.7500  0.1094

(7)
Structure and theoretical X-ray powder pattern of La2Sm2Ir3 (a structure optimized by DFT (GGA-PBE); Cu Kα X-rays).
No peak broadening, texture or thermal motion is included.

Most intense lines, 10° ≤ 2θ ≤ 90°, in order of rising 2θ:
2θ (°)  d/Å  I/Imax
24.55  3.627  108
31.86  2.809  1000
37.90  2.374  534
45.67  1.986  163
48.04  1.894  129
50.32  1.813  102
52.53  1.742  271
64.68  1.441  254
68.45  1.371  111
79.25  1.209  200

Atomic structure:
a b c (Å): 7.6930 7.6930 7.6930
angles (deg): 109.47 109.47 109.47
Fractional positions:
La  0.0000  0.3775  0.5000
La  0.1225  0.1225  0.1225
La  0.3775  0.5000  0.0000
La  0.5000  0.0000  0.3775
Sm  0.0000  0.8784  0.5000
Sm  0.5000  0.0000  0.8784
Sm  0.6216  0.6216  0.6216
Sm  0.8784  0.5000  0.0000
Ir  0.1077  0.7500  0.8577
Ir  0.2500  0.6423  0.3923
Ir  0.3923  0.2500  0.6423
Ir  0.6423  0.3923  0.2500
Ir  0.7500  0.8577  0.1077
Ir  0.8577  0.1077  0.7500

(8)
Structure and theoretical X-ray powder pattern of Tb5Tm4Sc (a structure optimized by DFT (GGA-PBE); Cu Kα X-rays).
No peak broadening, texture or thermal motion is included.

Most intense lines, 10° ≤ 2θ ≤ 90°, in order of rising 2θ:
2θ (°)  d/Å  I/Imax
28.85  3.094  243
32.16  2.783  240
33.12  2.704  1000
43.75  2.069  157
51.13  1.786  196
57.95  1.591  202
61.69  1.504  185
62.25  1.491  108
84.73  1.144  81
89.21  1.098  56

Atomic structure:
a b c (Å): 6.1819 6.6135 9.0601
angles (deg): 107.63 90.04 117.84
Fractional positions:
Tb  0.0000  0.0000  0.0000
Tb  0.0615  0.7927  0.2954
Tb  0.2612  0.1971  0.6964
Tb  0.3950  0.7978  0.7972
Tb  0.6624  0.0005  0.4928
Tm  0.1955  0.3951  0.3932
Tm  0.4664  0.6010  0.0980
Tm  0.7926  0.5959  0.5953
Tm  0.8601  0.3951  0.9001
Sc  0.5950  0.1983  0.1966

Q: Which formula does entry 2 have?
A: SmHo7Tl2